Record 1
Diffraction record for Li2Mn3NiO8. The powder XRD pattern is computed, not measured: it uses a PBE+U-relaxed structure and copper Kα.
Lines closer than 0.1° are merged.

Cell and atoms:
Lattice parameters (Å, degrees): 8.284 8.284 8.284 90.00 90.00 90.00
Space group P4_332 (No. 212)
Inequivalent atoms, fractional coordinates:
Li  0.004  0.004  0.004
Mn  0.121  0.129  0.625
Ni  0.125  0.875  0.375
O  0.101  0.124  0.392
O  0.116  0.616  0.884

Largest 10 diffraction maxima, in order of falling intensity, 2θ from 15° to 90°:
Position (°2θ), I_rel
18.55, 100
43.71, 54
35.96, 47
63.53, 32
57.84, 20
66.81, 14
37.61, 12
47.86, 10
80.30, 8
83.30, 7

=====

Record 2
Diffraction record for Li6Mn5Ni3O16. The powder XRD pattern is computed, not measured: it uses a PBE+U-relaxed structure and copper Kα.
Lines closer than 0.1° are merged.

Cell and atoms:
Lattice parameters (Å, degrees): 10.104 5.786 9.439 90.00 91.28 90.00
Space group Cm (No. 8)
Inequivalent atoms, fractional coordinates:
Li  0.000  0.000  0.000
Li  0.074  0.257  0.512
Li  0.245  0.254  0.999
Li  0.339  0.000  0.510
Mn  0.004  0.500  0.044
Mn  0.248  0.252  0.274
Mn  0.335  0.500  0.549
Mn  0.336  0.000  0.774
Ni  0.081  0.251  0.772
Ni  0.496  0.500  0.272
O  0.000  0.000  0.640
O  0.088  0.248  0.152
O  0.143  0.500  0.915
O  0.173  0.000  0.380
O  0.176  0.000  0.880
O  0.179  0.500  0.398
O  0.254  0.246  0.653
O  0.321  0.500  0.163
O  0.326  0.000  0.162
O  0.398  0.272  0.405
O  0.418  0.219  0.911
O  0.490  0.000  0.656

Largest 10 diffraction maxima, in order of falling intensity, 2θ from 15° to 90°:
Position (°2θ), I_rel
18.81, 100
20.13, 95
46.57, 73
19.94, 71
63.98, 56
46.01, 56
36.61, 51
40.91, 41
37.16, 41
19.75, 40

=====

Repeat the first record exactly.
Diffraction record for Li2Mn3NiO8. The powder XRD pattern is computed, not measured: it uses a PBE+U-relaxed structure and copper Kα.
Lines closer than 0.1° are merged.

Cell and atoms:
Lattice parameters (Å, degrees): 8.284 8.284 8.284 90.00 90.00 90.00
Space group P4_332 (No. 212)
Inequivalent atoms, fractional coordinates:
Li  0.004  0.004  0.004
Mn  0.121  0.129  0.625
Ni  0.125  0.875  0.375
O  0.101  0.124  0.392
O  0.116  0.616  0.884

Largest 10 diffraction maxima, in order of falling intensity, 2θ from 15° to 90°:
Position (°2θ), I_rel
18.55, 100
43.71, 54
35.96, 47
63.53, 32
57.84, 20
66.81, 14
37.61, 12
47.86, 10
80.30, 8
83.30, 7